1.
Simulated PXRD pattern
Compound: TbSi2Rh4
Radiation: Cu Kα
Structure: DFT lattice parameters and positions (GGA-PBE)
Kinematic intensities with the Lorentz-polarization factor, no thermal factor.

Principal peaks in the range 5 to 70 degrees two-theta, by intensity:
h k l  2θ (°)  d [Å]  I (rel.)
2 1 1  35.46  2.531  100.0
3 1 0  37.13  2.421  42.5
2 2 1  41.09  2.197  24.5
3 1 1  44.51  2.036  24.5
5 0 1  65.85  1.418  20.8
0 0 2  48.43  1.879  19.0
3 1 2  62.56  1.485  18.3
4 1 0  49.05  1.857  15.6
4 1 1  55.16  1.665  10.2
1 1 1  28.92  3.088  9.3

Unit cell a=7.657 b=7.657 c=3.759 alpha=90.00 beta=90.00 gamma=90.00
Atoms (fractional coordinates):
Tb1 0.000 0.000 0.000
Tb2 0.500 0.500 0.500
Si1 0.229 0.229 0.500
Si2 0.271 0.729 0.000
Si3 0.729 0.271 0.000
Si4 0.771 0.771 0.500
Rh1 0.073 0.672 0.500
Rh2 0.172 0.427 0.000
Rh3 0.328 0.927 0.500
Rh4 0.427 0.172 0.000
Rh5 0.573 0.828 0.000
Rh6 0.672 0.073 0.500
Rh7 0.828 0.573 0.000
Rh8 0.927 0.328 0.500

***

2.
Simulated PXRD pattern
Compound: Tb2Si7Rh12
Radiation: Cu Kα
Structure: DFT lattice parameters and positions (GGA-PBE)
Kinematic intensities with the Lorentz-polarization factor, no thermal factor.

Principal peaks in the range 5 to 70 degrees two-theta, by intensity:
h k l  2θ (°)  d [Å]  I (rel.)
3 -2 1  36.57  2.457  100.0
0 0 2  47.11  1.929  15.4
1 4 0  49.53  1.840  14.7
2 1 0  27.99  3.188  14.5
3 2 0  46.96  1.935  11.1
2 2 0  36.92  2.435  10.0
1 3 1  45.34  2.000  8.9
4 2 1  63.11  1.473  6.8
4 0 0  42.89  2.108  6.7
5 0 1  59.84  1.546  6.6

Unit cell a=9.739 b=9.739 c=3.858 alpha=90.00 beta=90.00 gamma=120.00
Atoms (fractional coordinates):
Tb1 0.333 0.667 0.250
Tb2 0.667 0.333 0.750
Si1 0.000 0.000 0.000
Si2 0.111 0.710 0.749
Si3 0.290 0.400 0.749
Si4 0.400 0.111 0.251
Si5 0.600 0.889 0.749
Si6 0.710 0.600 0.251
Si7 0.889 0.290 0.251
Rh1 0.063 0.444 0.748
Rh2 0.119 0.262 0.245
Rh3 0.143 0.881 0.245
Rh4 0.262 0.143 0.755
Rh5 0.381 0.937 0.748
Rh6 0.444 0.381 0.252
Rh7 0.556 0.619 0.748
Rh8 0.619 0.063 0.252
Rh9 0.738 0.857 0.245
Rh10 0.857 0.119 0.755
Rh11 0.881 0.738 0.755
Rh12 0.937 0.556 0.252

***

3.
Simulated PXRD pattern
Compound: SiTeRh
Radiation: Cu Kα
Structure: DFT lattice parameters and positions (GGA-PBE)
Kinematic intensities with the Lorentz-polarization factor, no thermal factor.

Principal peaks in the range 5 to 70 degrees two-theta, by intensity:
h k l  2θ (°)  d [Å]  I (rel.)
2 0 0  30.83  2.901  100.0
1 2 -1  32.87  2.725  77.8
2 1 0  34.01  2.636  70.7
1 1 -1  21.67  4.100  51.2
1 1 -3  45.13  2.009  48.1
3 1 -1  45.02  2.014  46.5
2 1 -1  31.43  2.846  43.5
1 0 -2  28.04  3.182  41.9
1 3 1  50.85  1.796  41.8
3 1 -3  52.98  1.728  39.4

Unit cell a=6.404 b=6.315 c=6.387 alpha=90.00 beta=114.91 gamma=90.00
Atoms (fractional coordinates):
Si1 0.142 0.149 0.334
Si2 0.142 0.351 0.834
Si3 0.858 0.649 0.166
Si4 0.858 0.851 0.666
Te1 0.339 0.620 0.647
Te2 0.339 0.880 0.147
Te3 0.661 0.120 0.853
Te4 0.661 0.380 0.353
Rh1 0.212 0.014 0.709
Rh2 0.212 0.486 0.209
Rh3 0.788 0.514 0.791
Rh4 0.788 0.986 0.291